Simulated XRD peak list
Compound: Li7GaAu2
Radiation: Cu Kα
Structure: a structure optimized by DFT (GGA-PBE)

Structural model:
Unit cell a=7.4068 b=7.4068 c=4.5043 alpha=90.00 beta=90.00 gamma=119.04
Sites, in units of the cell vectors:
Li 0.0000 0.0000 0.0000
Li 0.2066 0.4387 0.0000
Li 0.2803 0.7197 0.5000
Li 0.4387 0.2066 0.0000
Li 0.5613 0.7934 0.0000
Li 0.7197 0.2803 0.5000
Li 0.7934 0.5613 0.0000
Ga 0.5000 0.5000 0.5000
Au 0.1980 0.8020 0.0000
Au 0.8020 0.1980 0.0000

Largest 8 diffraction maxima, by intensity, 15° ≤ 2θ ≤ 90°:
two_theta  intensity
24.0  100
24.2  59
34.1  51
42.4  51
23.7  50
19.7  39
31.3  28
41.9  27